Calculated powder diffractogram of La2Mn3Sb3O14 for Cu Kα X-rays, from DFT lattice parameters and positions (PBE+U).
No peak broadening, texture or thermal motion is included.

Principal peaks in the range 2θ = 10–90°, by intensity:
29.7 deg, intensity 100.0; 29.2 deg, intensity 54.1; 29.9 deg, intensity 49.7; 58.9 deg, intensity 42.3; 34.3 deg, intensity 40.2; 48.9 deg, intensity 33.0; 49.9 deg, intensity 31.1; 58.0 deg, intensity 21.4; 34.5 deg, intensity 19.9; 14.8 deg, intensity 18.0; 49.4 deg, intensity 16.2; 49.1 deg, intensity 16.1

```
22
Lattice="6.315 -3.689 0.000 6.315 3.689 0.000 -4.201 0.000 6.118" Properties=species:S:1:pos:R:3 pbc="T T T"
La 0.000 0.000 0.000
La -2.101 0.000 3.059
Mn 1.057 1.844 3.059
Mn 1.057 -1.844 3.059
Mn 6.315 0.000 0.000
Sb 3.157 1.844 0.000
Sb 3.157 -1.844 0.000
Sb 4.214 0.000 3.059
O 0.135 0.000 2.384
O 3.347 1.496 1.990
O -1.695 0.000 5.618
O 0.848 1.493 5.697
O 7.581 1.493 0.421
O 5.081 1.496 4.129
O 2.540 0.000 4.122
O 5.888 0.000 1.996
O 3.347 -1.496 1.990
O 0.848 -1.493 5.697
O 7.581 -1.493 0.421
O 10.124 0.000 0.500
O 5.081 -1.496 4.129
O 8.293 0.000 3.734
```